This entry pairs a crystal structure of Cs2Tl3Br5 with its simulated XRD peak list. Radiation: Cu Kα X-rays. Structure: DFT lattice parameters and positions (PBE).
No peak broadening, texture or thermal motion is included.

Structure:
a = 9.0948 Å, b = 9.0948 Å, c = 12.5659 Å
α = 124.28°, β = 124.28°, γ = 31.22°
Sites, in units of the cell vectors:
1 Cs 0.1686 0.1686 0.2655
2 Cs 0.8314 0.8314 0.7345
3 Tl 0.0000 0.0000 0.5000
4 Tl 0.3862 0.3862 0.1300
5 Tl 0.6138 0.6138 0.8700
6 Br 0.2027 0.2027 0.8045
7 Br 0.4064 0.4064 0.5843
8 Br 0.5000 0.5000 0.0000
9 Br 0.5936 0.5936 0.4157
10 Br 0.7973 0.7973 0.1955

The 8 most intense peaks (10 to 90 degrees two-theta), low angle first:
| d_spacing | I (rel.) |
| --- | --- |
| 3.941 | 40 |
| 3.619 | 100 |
| 3.322 | 54 |
| 2.687 | 20 |
| 2.458 | 31 |
| 2.447 | 27 |
| 2.437 | 27 |
| 1.970 | 25 |



This entry pairs a crystal structure of LaCuNiAs2 with its simulated XRD peak list. Radiation: Cu Kα X-rays. Structure: DFT lattice parameters and positions (PBE).
No peak broadening, texture or thermal motion is included.

Structure:
a = 4.0827 Å, b = 4.0827 Å, c = 10.9567 Å
α = 90.00°, β = 90.00°, γ = 90.00°
Sites, in units of the cell vectors:
1 La 0.0000 0.0000 0.0000
2 La 0.5000 0.5000 0.5000
3 Cu 0.0000 0.5000 0.7500
4 Cu 0.5000 0.0000 0.2500
5 Ni 0.0000 0.5000 0.2500
6 Ni 0.5000 0.0000 0.7500
7 As 0.0000 0.0000 0.3682
8 As 0.0000 0.0000 0.6318
9 As 0.5000 0.5000 0.1318
10 As 0.5000 0.5000 0.8682

The 8 most intense peaks (10 to 90 degrees two-theta), low angle first:
| d_spacing | I (rel.) |
| --- | --- |
| 2.887 | 21 |
| 2.722 | 100 |
| 2.554 | 83 |
| 2.041 | 58 |
| 1.931 | 26 |
| 1.633 | 42 |
| 1.543 | 24 |
| 1.403 | 18 |



This entry pairs a crystal structure of Sm2Ni2Au with its simulated XRD peak list. Radiation: Cu Kα X-rays. Structure: DFT lattice parameters and positions (PBE).
No peak broadening, texture or thermal motion is included.

Structure:
a = 3.9267 Å, b = 13.8622 Å, c = 3.7379 Å
α = 90.00°, β = 90.00°, γ = 90.00°
Sites, in units of the cell vectors:
1 Sm 0.0000 0.1309 0.0000
2 Sm 0.0000 0.8691 0.0000
3 Sm 0.5000 0.3691 0.0000
4 Sm 0.5000 0.6309 0.0000
5 Ni 0.0000 0.3014 0.5000
6 Ni 0.0000 0.6986 0.5000
7 Ni 0.5000 0.1986 0.5000
8 Ni 0.5000 0.8014 0.5000
9 Au 0.0000 0.5000 0.5000
10 Au 0.5000 0.0000 0.5000

The 8 most intense peaks (10 to 90 degrees two-theta), low angle first:
| d_spacing | I (rel.) |
| --- | --- |
| 2.992 | 36 |
| 2.657 | 100 |
| 2.541 | 63 |
| 2.265 | 40 |
| 1.964 | 24 |
| 1.869 | 18 |
| 1.554 | 28 |
| 1.442 | 19 |



This entry pairs a crystal structure of Cs3ZrTe3 with its simulated XRD peak list. Radiation: Cu Kα X-rays. Structure: DFT lattice parameters and positions (PBE).
No peak broadening, texture or thermal motion is included.

Structure:
a = 9.4438 Å, b = 15.3673 Å, c = 12.1767 Å
α = 90.00°, β = 127.34°, γ = 90.00°
Sites, in units of the cell vectors:
1 Cs 0.0993 0.1407 0.4827
2 Cs 0.0993 0.3593 0.9827
3 Cs 0.1416 0.0673 0.8965
4 Cs 0.1416 0.4327 0.3965
5 Cs 0.3790 0.6890 0.5796
6 Cs 0.3790 0.8110 0.0796
7 Cs 0.6210 0.1890 0.9204
8 Cs 0.6210 0.3110 0.4204
9 Cs 0.8584 0.5673 0.6035
10 Cs 0.8584 0.9327 0.1035
11 Cs 0.9007 0.6407 0.0173
12 Cs 0.9007 0.8593 0.5173
13 Zr 0.4436 0.0510 0.3588
14 Zr 0.4436 0.4490 0.8588
15 Zr 0.5564 0.5510 0.1412
16 Zr 0.5564 0.9490 0.6412
17 Te 0.1428 0.1587 0.1950
18 Te 0.1428 0.3413 0.6950
19 Te 0.3453 0.6206 0.8701
20 Te 0.3453 0.8794 0.3701
21 Te 0.3721 0.5431 0.2541
22 Te 0.3721 0.9569 0.7541
23 Te 0.6279 0.0431 0.2459
24 Te 0.6279 0.4569 0.7459
25 Te 0.6547 0.1206 0.6299
26 Te 0.6547 0.3794 0.1299
27 Te 0.8572 0.6587 0.3050
28 Te 0.8572 0.8413 0.8050

The 8 most intense peaks (10 to 90 degrees two-theta), low angle first:
| d_spacing | I (rel.) |
| --- | --- |
| 3.751 | 55 |
| 3.647 | 99 |
| 3.547 | 83 |
| 3.521 | 41 |
| 3.463 | 100 |
| 3.024 | 41 |
| 3.006 | 32 |
| 2.976 | 33 |



> Number 4 is which compound?

Cs3ZrTe3